Entry 1:
Starting from the PBE geometry in Alexandria, the powder XRD pattern of HoEr3Sn2C was computed for CuKα.

Structural model:
abc: 4.7511 4.7667 15.8025
angles: 90.00 90.00 90.00
Fractional positions:
Ho: 0.0000 0.0000 0.0000
Ho: 0.5000 0.5000 0.5000
Er: 0.0000 0.0000 0.5000
Er: 0.0000 0.5000 0.1584
Er: 0.0000 0.5000 0.8416
Er: 0.5000 0.0000 0.3416
Er: 0.5000 0.0000 0.6584
Er: 0.5000 0.5000 0.0000
Sn: 0.0000 0.5000 0.3591
Sn: 0.0000 0.5000 0.6409
Sn: 0.5000 0.0000 0.1409
Sn: 0.5000 0.0000 0.8591
C: 0.0000 0.5000 0.0000
C: 0.5000 0.0000 0.5000

Largest 6 diffraction maxima, sorted by position, 2θ = 10–80°:
| 2θ (°) | I/Imax |
| --- | --- |
| 28.84 | 71 |
| 34.04 | 34 |
| 35.03 | 100 |
| 37.74 | 29 |
| 37.87 | 29 |
| 51.74 | 21 |

***

Entry 2:
Starting from the PBE geometry in Alexandria, the powder XRD pattern of Ti4FeCo3 was computed for CuKα.

Structural model:
abc: 4.2104 4.2104 5.9312
angles: 90.00 90.00 90.00
Fractional positions:
Ti: 0.0000 0.5000 0.2486
Ti: 0.0000 0.5000 0.7514
Ti: 0.5000 0.0000 0.2486
Ti: 0.5000 0.0000 0.7514
Fe: 0.0000 0.0000 0.0000
Co: 0.0000 0.0000 0.5000
Co: 0.5000 0.5000 0.0000
Co: 0.5000 0.5000 0.5000

Largest 6 diffraction maxima, sorted by position, 2θ = 10–80°:
| 2θ (°) | I/Imax |
| --- | --- |
| 30.01 | 2 |
| 43.02 | 100 |
| 62.38 | 10 |
| 62.65 | 5 |
| 78.79 | 19 |
| 78.98 | 9 |

***

Entry 3:
Starting from the PBE geometry in Alexandria, the powder XRD pattern of Ba3AsPd was computed for CuKα.

Structural model:
abc: 9.7320 8.6323 9.1819
angles: 90.00 99.27 90.00
Fractional positions:
Ba: 0.0694 0.0005 0.2119
Ba: 0.0694 0.4995 0.7119
Ba: 0.2914 0.1299 0.5938
Ba: 0.2914 0.3701 0.0938
Ba: 0.3687 0.7004 0.4873
Ba: 0.3687 0.7996 0.9873
Ba: 0.6313 0.2004 0.0127
Ba: 0.6313 0.2996 0.5127
Ba: 0.7086 0.6299 0.9062
Ba: 0.7086 0.8701 0.4062
Ba: 0.9306 0.9995 0.7881
Ba: 0.9306 0.5005 0.2881
As: 0.4175 0.0559 0.2705
As: 0.4175 0.4441 0.7705
As: 0.5825 0.5559 0.2295
As: 0.5825 0.9441 0.7295
Pd: 0.0519 0.6683 0.0161
Pd: 0.0519 0.8317 0.5161
Pd: 0.9481 0.1683 0.4839
Pd: 0.9481 0.3317 0.9839

Largest 6 diffraction maxima, sorted by position, 2θ = 10–80°:
| 2θ (°) | I/Imax |
| --- | --- |
| 25.25 | 50 |
| 27.85 | 43 |
| 28.56 | 100 |
| 30.53 | 57 |
| 31.34 | 82 |
| 33.54 | 55 |

***

Entry 4:
Starting from the PBE geometry in Alexandria, the powder XRD pattern of Nd6Se5 was computed for CuKα.

Structural model:
abc: 7.2515 7.2515 7.2820
angles: 99.59 99.59 119.58
Fractional positions:
Nd: 0.0814 0.4185 0.7500
Nd: 0.2486 0.2486 0.2561
Nd: 0.4185 0.0814 0.7500
Nd: 0.5815 0.9186 0.2500
Nd: 0.7514 0.7514 0.7439
Nd: 0.9186 0.5815 0.2500
Se: 0.0000 0.0000 0.5000
Se: 0.1652 0.8348 0.0000
Se: 0.3313 0.6687 0.5000
Se: 0.6687 0.3313 0.5000
Se: 0.8348 0.1652 0.0000

Largest 6 diffraction maxima, sorted by position, 2θ = 10–80°:
| 2θ (°) | I/Imax |
| --- | --- |
| 25.91 | 13 |
| 26.07 | 13 |
| 30.09 | 100 |
| 42.91 | 13 |
| 43.06 | 50 |
| 53.62 | 13 |

***

Entry 5:
Starting from the PBE geometry in Alexandria, the powder XRD pattern of PaGaB12 was computed for CuKα.

Structural model:
abc: 4.1212 4.1212 8.3145
angles: 90.00 90.00 90.00
Fractional positions:
Pa: 0.0000 0.0000 0.0000
Ga: 0.0000 0.0000 0.5000
B: 0.1997 0.5000 0.2451
B: 0.1997 0.5000 0.7549
B: 0.5000 0.1997 0.2451
B: 0.5000 0.1997 0.7549
B: 0.5000 0.5000 0.0973
B: 0.5000 0.5000 0.3976
B: 0.5000 0.5000 0.6024
B: 0.5000 0.5000 0.9027
B: 0.5000 0.8003 0.2451
B: 0.5000 0.8003 0.7549
B: 0.8003 0.5000 0.2451
B: 0.8003 0.5000 0.7549

Largest 6 diffraction maxima, sorted by position, 2θ = 10–80°:
| 2θ (°) | I/Imax |
| --- | --- |
| 10.64 | 66 |
| 21.56 | 65 |
| 30.54 | 100 |
| 30.68 | 49 |
| 37.70 | 63 |
| 49.41 | 50 |

***

Entry 6:
Starting from the PBE geometry in Alexandria, the powder XRD pattern of Ac4GdMg was computed for CuKα.

Structural model:
abc: 7.1728 7.1728 7.1728
angles: 60.00 60.00 60.00
Fractional positions:
Ac: 0.1250 0.1250 0.1250
Ac: 0.1250 0.1250 0.6249
Ac: 0.1250 0.6249 0.1250
Ac: 0.6249 0.1250 0.1250
Gd: 0.7500 0.7500 0.7500
Mg: 0.5000 0.5000 0.5000

Largest 6 diffraction maxima, sorted by position, 2θ = 10–80°:
| 2θ (°) | I/Imax |
| --- | --- |
| 15.13 | 49 |
| 29.20 | 100 |
| 30.53 | 71 |
| 46.52 | 38 |
| 50.92 | 37 |
| 60.55 | 32 |

***

Entry 7:
Starting from the PBE geometry in Alexandria, the powder XRD pattern of Tl2VS3 was computed for CuKα.

Structural model:
abc: 7.4242 7.4242 15.1855
angles: 90.93 90.93 125.79
Fractional positions:
Tl: 0.0247 0.4163 0.3470
Tl: 0.1436 0.3535 0.9422
Tl: 0.3535 0.1436 0.4422
Tl: 0.4163 0.0247 0.8470
Tl: 0.5837 0.9753 0.1530
Tl: 0.6465 0.8564 0.5578
Tl: 0.8564 0.6465 0.0578
Tl: 0.9753 0.5837 0.6530
V: 0.2583 0.2723 0.6688
V: 0.2723 0.2583 0.1688
V: 0.7277 0.7417 0.8312
V: 0.7417 0.7277 0.3312
S: 0.0181 0.9819 0.2500
S: 0.1284 0.3126 0.5464
S: 0.1712 0.4730 0.1386
S: 0.3126 0.1284 0.0464
S: 0.4111 0.5889 0.7500
S: 0.4730 0.1712 0.6386
S: 0.5270 0.8288 0.3614
S: 0.5889 0.4111 0.2500
S: 0.6874 0.8716 0.9536
S: 0.8288 0.5270 0.8614
S: 0.8716 0.6874 0.4536
S: 0.9819 0.0181 0.7500

Largest 6 diffraction maxima, sorted by position, 2θ = 10–80°:
| 2θ (°) | I/Imax |
| --- | --- |
| 22.60 | 63 |
| 24.71 | 49 |
| 26.37 | 100 |
| 27.06 | 55 |
| 27.63 | 52 |
| 32.46 | 86 |

***

Entry 8:
Starting from the PBE geometry in Alexandria, the powder XRD pattern of Dy2ErH8 was computed for CuKα.

Structural model:
abc: 6.2730 6.2730 6.2730
angles: 146.40 132.13 59.76
Fractional positions:
Dy: 0.1681 0.1681 0.0000
Dy: 0.8319 0.8319 0.0000
Er: 0.5000 0.5000 0.0000
H: 0.0817 0.3401 0.7416
H: 0.2344 0.0000 0.2344
H: 0.3406 0.8406 0.5000
H: 0.4015 0.6599 0.7416
H: 0.5985 0.3401 0.2584
H: 0.6594 0.1594 0.5000
H: 0.7656 0.0000 0.7656
H: 0.9183 0.6599 0.2584

Largest 6 diffraction maxima, sorted by position, 2θ = 10–80°:
| 2θ (°) | I/Imax |
| --- | --- |
| 30.26 | 100 |
| 34.99 | 34 |
| 35.26 | 17 |
| 50.53 | 25 |
| 59.85 | 29 |
| 60.21 | 14 |

***

Entry 9:
Starting from the PBE geometry in Alexandria, the powder XRD pattern of K4RbGe4 was computed for CuKα.

Structural model:
abc: 10.7311 10.7311 6.8645
angles: 90.00 90.00 90.00
Fractional positions:
K: 0.0892 0.6512 0.0969
K: 0.1512 0.9108 0.5969
K: 0.3488 0.5892 0.5969
K: 0.4108 0.8488 0.0969
K: 0.5892 0.1512 0.9031
K: 0.6512 0.4108 0.4031
K: 0.8488 0.0892 0.4031
K: 0.9108 0.3488 0.9031
Rb: 0.2500 0.2500 0.2500
Rb: 0.7500 0.7500 0.7500
Ge: 0.0273 0.5828 0.5957
Ge: 0.0828 0.9727 0.0957
Ge: 0.4172 0.5273 0.0957
Ge: 0.4727 0.9172 0.5957
Ge: 0.5273 0.0828 0.4043
Ge: 0.5828 0.4727 0.9043
Ge: 0.9172 0.0273 0.9043
Ge: 0.9727 0.4172 0.4043

Largest 6 diffraction maxima, sorted by position, 2θ = 10–80°:
| 2θ (°) | I/Imax |
| --- | --- |
| 15.32 | 44 |
| 17.42 | 66 |
| 26.26 | 100 |
| 27.28 | 43 |
| 29.36 | 45 |
| 36.27 | 48 |

***

Entry 10:
Starting from the PBE geometry in Alexandria, the powder XRD pattern of LiAc3Ag3 was computed for CuKα.

Structural model:
abc: 4.2130 4.8180 20.6557
angles: 90.00 90.00 90.00
Fractional positions:
Li: 0.0000 0.0000 0.0000
Li: 0.5000 0.5000 0.5000
Ac: 0.0000 0.0000 0.4299
Ac: 0.0000 0.5000 0.2469
Ac: 0.0000 0.5000 0.6259
Ac: 0.5000 0.0000 0.1259
Ac: 0.5000 0.0000 0.7469
Ac: 0.5000 0.5000 0.9299
Ag: 0.0000 0.0000 0.8736
Ag: 0.0000 0.5000 0.0687
Ag: 0.0000 0.5000 0.7946
Ag: 0.5000 0.0000 0.2946
Ag: 0.5000 0.0000 0.5687
Ag: 0.5000 0.5000 0.3736

Largest 6 diffraction maxima, sorted by position, 2θ = 10–80°:
| 2θ (°) | I/Imax |
| --- | --- |
| 22.52 | 33 |
| 29.46 | 100 |
| 30.30 | 62 |
| 33.15 | 33 |
| 35.68 | 38 |
| 48.81 | 34 |

***

Entry 11:
Starting from the PBE geometry in Alexandria, the powder XRD pattern of Ba3SmIrRuO9 was computed for CuKα.

Structural model:
abc: 5.9916 5.9916 14.8563
angles: 90.00 90.00 120.00
Fractional positions:
Ba: 0.0000 0.0000 0.0000
Ba: 0.0000 0.0000 0.5000
Ba: 0.3333 0.6667 0.1516
Ba: 0.3333 0.6667 0.8449
Ba: 0.6667 0.3333 0.3449
Ba: 0.6667 0.3333 0.6516
Sm: 0.0000 0.0000 0.2497
Sm: 0.0000 0.0000 0.7497
Ir: 0.3333 0.6667 0.5851
Ir: 0.6667 0.3333 0.0851
Ru: 0.3333 0.6667 0.4154
Ru: 0.6667 0.3333 0.9154
O: 0.0201 0.5101 0.5002
O: 0.1777 0.3554 0.3416
O: 0.1779 0.3558 0.6624
O: 0.1777 0.8223 0.3416
O: 0.1779 0.8221 0.6624
O: 0.3554 0.1777 0.8416
O: 0.3558 0.1779 0.1624
O: 0.4899 0.5101 0.5002
O: 0.4899 0.9799 0.5002
O: 0.5101 0.0201 0.0002
O: 0.5101 0.4899 0.0002
O: 0.6442 0.8221 0.6624
O: 0.6446 0.8223 0.3416
O: 0.8221 0.1779 0.1624
O: 0.8223 0.1777 0.8416
O: 0.8221 0.6442 0.1624
O: 0.8223 0.6446 0.8416
O: 0.9799 0.4899 0.0002

Largest 6 diffraction maxima, sorted by position, 2θ = 10–80°:
| 2θ (°) | I/Imax |
| --- | --- |
| 24.85 | 19 |
| 29.58 | 63 |
| 29.82 | 100 |
| 42.50 | 35 |
| 52.79 | 24 |
| 52.94 | 20 |

***

Entry 12:
Starting from the PBE geometry in Alexandria, the powder XRD pattern of CePuCo2P2 was computed for CuKα.

Structural model:
abc: 3.9189 3.9189 7.6839
angles: 90.00 90.00 120.00
Fractional positions:
Ce: 0.0000 0.0000 0.0000
Pu: 0.0000 0.0000 0.5000
Co: 0.3333 0.6667 0.7438
Co: 0.6667 0.3333 0.2562
P: 0.3333 0.6667 0.2539
P: 0.6667 0.3333 0.7461

Largest 6 diffraction maxima, sorted by position, 2θ = 10–80°:
| 2θ (°) | I/Imax |
| --- | --- |
| 26.26 | 38 |
| 35.29 | 100 |
| 46.34 | 33 |
| 59.56 | 22 |
| 68.39 | 20 |
| 78.63 | 20 |